No. 1
Diffraction record for Sm3S4. The powder XRD pattern is simulated, not measured: it uses a cell relaxed with GGA-PBE and Cu Kα.
Peak positions follow from Bragg's law for the DFT cell and can differ from measured ones.

Largest 6 diffraction maxima, most intense first, 5 to 70 degrees two-theta:
d/Å  2theta  I/Imax  h k l
4.033  22.04  100  2 1 1
2.209  40.85  24  4 2 0
1.937  46.90  24  5 1 0
2.106  42.95  23  3 3 2
2.640  33.96  23  3 2 1
3.124  28.58  19  3 1 0

Cell and atoms:
abc: 9.8781 9.8781 9.8781
angles: 90.00 90.00 90.00
Space group I-43d (No. 220)
One atom of each set of equivalent atoms:
Sm  0.0000  0.2500  0.8750 x12
S  0.0308  0.0308  0.0308 x16

---

No. 2
Diffraction record for Sm10S19. The powder XRD pattern is simulated, not measured: it uses a cell relaxed with GGA-PBE and Cu Kα.
Peak positions follow from Bragg's law for the DFT cell and can differ from measured ones.

Largest 6 diffraction maxima, most intense first, 5 to 70 degrees two-theta:
d/Å  2theta  I/Imax  h k l
3.550  25.08  100  1 2 2
2.296  39.23  59  3 1 4
2.798  31.99  46  3 1 0
2.219  40.67  41  1 2 6
4.019  22.12  29  0 0 4
1.728  52.98  27  5 0 2

Cell and atoms:
abc: 8.8485 8.8485 16.0761
angles: 90.00 90.00 90.00
Space group P4_2/n (No. 86, origin choice 2)
One atom of each set of equivalent atoms:
Sm  0.0411  0.3480  0.1218 x8
Sm  0.0549  0.3543  0.6033 x8
Sm  0.2500  0.7500  0.1151 x4
S  0.0303  0.8057  0.2492 x8
S  0.0489  0.3481  0.4270 x8
S  0.0532  0.3516  0.9378 x8
S  0.0746  0.8879  0.7502 x8
S  0.2500  0.2500  0.2500 x2
S  0.2500  0.7500  0.4349 x4

---

What did the second record say?
Diffraction record for Sm10S19. The powder XRD pattern is simulated, not measured: it uses a cell relaxed with GGA-PBE and Cu Kα.
Peak positions follow from Bragg's law for the DFT cell and can differ from measured ones.

Largest 6 diffraction maxima, most intense first, 5 to 70 degrees two-theta:
d/Å  2theta  I/Imax  h k l
3.550  25.08  100  1 2 2
2.296  39.23  59  3 1 4
2.798  31.99  46  3 1 0
2.219  40.67  41  1 2 6
4.019  22.12  29  0 0 4
1.728  52.98  27  5 0 2

Cell and atoms:
abc: 8.8485 8.8485 16.0761
angles: 90.00 90.00 90.00
Space group P4_2/n (No. 86, origin choice 2)
One atom of each set of equivalent atoms:
Sm  0.0411  0.3480  0.1218 x8
Sm  0.0549  0.3543  0.6033 x8
Sm  0.2500  0.7500  0.1151 x4
S  0.0303  0.8057  0.2492 x8
S  0.0489  0.3481  0.4270 x8
S  0.0532  0.3516  0.9378 x8
S  0.0746  0.8879  0.7502 x8
S  0.2500  0.2500  0.2500 x2
S  0.2500  0.7500  0.4349 x4